Computed XRD peak list
Compound: AcGaPd6Au
Radiation: Cu Kα X-rays
Structure: a crystal structure in Alexandria, relaxed with PBE

Structural model:
abc: 8.1645 8.1645 8.1645
angles: 131.74 108.44 91.03
Sites, in units of the cell vectors:
1 Ac 0.4283 0.1783 0.2500
2 Ac 0.5717 0.8217 0.7500
3 Ga 0.0000 0.5000 0.5000
4 Ga 0.5000 0.5000 0.0000
5 Pd 0.1223 0.3398 0.2062
6 Pd 0.1223 0.9161 0.7825
7 Pd 0.1859 0.9359 0.2500
8 Pd 0.3188 0.5688 0.7500
9 Pd 0.3664 0.0839 0.7062
10 Pd 0.3664 0.6602 0.2825
11 Pd 0.6336 0.3398 0.7175
12 Pd 0.6336 0.9161 0.2938
13 Pd 0.6812 0.4312 0.2500
14 Pd 0.8141 0.0641 0.7500
15 Pd 0.8777 0.0839 0.2175
16 Pd 0.8777 0.6602 0.7938
17 Au 0.0000 0.0000 0.5000
18 Au 0.0000 0.5000 0.0000

The 8 most intense peaks (10 to 90 degrees two-theta), low angle first:
2theta  Rel. int.
24.26  38
26.92  47
29.40  99
32.74  68
35.41  68
36.62  39
37.69  100
45.90  93